1.
Pr3Dy8Sc2: theoretical PXRD pattern (CuKα), based on a GGA-PBE-relaxed structure.
Kinematic intensities with the Lorentz-polarization factor, no thermal factor.

Crystal structure
```
data_Pr3Dy8Sc2
_cell_length_a 7.7707
_cell_length_b 19.5954
_cell_length_c 5.6090
_cell_angle_alpha 90.00
_cell_angle_beta 90.00
_cell_angle_gamma 90.00
_symmetry_space_group_name_H-M 'C m m m'
_symmetry_Int_Tables_number 65
_symmetry_space_group_name_Hall '-C 2 2'
loop_
_atom_site_label
_atom_site_fract_x
_atom_site_fract_y
_atom_site_fract_z
_atom_site_occupancy
Pr1 0.0000 0.0000 0.0000 1
Pr2 0.2058 0.5000 0.5000 1
Dy1 0.0000 0.1371 0.5000 1
Dy2 0.0000 0.3209 0.5000 1
Dy3 0.2082 0.3855 0.0000 1
Sc1 0.0000 0.2405 0.0000 1
```

Main lines, sorted by position (2θ = 15–90°):
hkl	2θ/deg	Rel. int.
0 4 0	18.1	13
2 2 0	24.6	15
2 0 1	27.9	22
2 2 1	29.4	17
1 5 1	30.1	42
0 6 1	31.7	25
0 0 2	31.9	48
2 4 1	33.5	100
3 1 0	34.9	14
2 2 2	40.8	12
2 4 3	57.9	21
5 5 1	66.9	14


2.
PrDy4Sc5: theoretical PXRD pattern (CuKα), based on a GGA-PBE-relaxed structure.
Kinematic intensities with the Lorentz-polarization factor, no thermal factor.

Crystal structure
```
data_PrDy4Sc5
_cell_length_a 10.0563
_cell_length_b 10.0563
_cell_length_c 5.7471
_cell_angle_alpha 90.00
_cell_angle_beta 90.00
_cell_angle_gamma 90.00
_symmetry_space_group_name_H-M 'I 4 m m'
_symmetry_Int_Tables_number 107
_symmetry_space_group_name_Hall 'I 4 -2'
loop_
_atom_site_label
_atom_site_fract_x
_atom_site_fract_y
_atom_site_fract_z
_atom_site_occupancy
Pr1 0.0000 0.0000 0.0000 1
Dy1 0.0000 0.3250 0.2728 1
Sc1 0.0000 0.0000 0.4745 1
Sc2 0.1899 0.1899 0.7204 1
```

Main lines, sorted by position (2θ = 15–90°):
hkl	2θ/deg	Rel. int.
2 1 1	25.1	53
3 1 0	28.1	18
3 0 1	30.9	100
0 0 2	31.1	14
1 1 2	33.6	25
3 3 0	38.0	42
2 2 2	40.4	17
3 3 2	49.9	14
4 2 2	51.6	16
3 0 3	55.2	17
5 1 2	56.6	14
6 3 1	64.2	20


3.
Pr2Dy12Sc: theoretical PXRD pattern (CuKα), based on a GGA-PBE-relaxed structure.
Kinematic intensities with the Lorentz-polarization factor, no thermal factor.

Crystal structure
```
data_Pr2Dy12Sc
_cell_length_a 7.0555
_cell_length_b 11.2845
_cell_length_c 24.5877
_cell_angle_alpha 90.00
_cell_angle_beta 90.00
_cell_angle_gamma 90.00
_symmetry_space_group_name_H-M 'C m m e'
_symmetry_Int_Tables_number 67
_symmetry_space_group_name_Hall '-C 2a 2'
loop_
_atom_site_label
_atom_site_fract_x
_atom_site_fract_y
_atom_site_fract_z
_atom_site_occupancy
Pr1 0.0000 0.2500 0.2318 1
Pr2 0.0000 0.2500 0.7624 1
Dy1 0.0000 0.9997 0.4270 1
Dy2 0.0000 0.0146 0.0616 1
Dy3 0.2378 0.2500 0.9153 1
Dy4 0.2493 0.2500 0.3795 1
Dy5 0.2500 0.0000 0.1741 1
Dy6 0.2500 0.0000 0.3049 1
Sc1 0.0000 0.2500 0.5000 1
```

Main lines, sorted by position (2θ = 15–90°):
hkl	2θ/deg	Rel. int.
2 0 4	29.2	21
0 2 7	30.0	35
2 2 2	30.8	100
0 4 0	31.7	73
0 2 8	33.2	63
2 2 4	33.3	35
2 2 6	37.2	50
4 0 0	51.8	18
2 6 2	55.9	18
0 6 8	57.5	20
4 4 0	62.1	21
4 2 8	62.9	20


4.
PrDy4Sc2: theoretical PXRD pattern (CuKα), based on a GGA-PBE-relaxed structure.
Kinematic intensities with the Lorentz-polarization factor, no thermal factor.

Crystal structure
```
data_PrDy4Sc2
_cell_length_a 6.9451
_cell_length_b 8.3978
_cell_length_c 8.6169
_cell_angle_alpha 114.43
_cell_angle_beta 101.64
_cell_angle_gamma 101.99
_symmetry_space_group_name_H-M 'P 1'
_symmetry_Int_Tables_number 1
_symmetry_space_group_name_Hall 'P 1'
loop_
_atom_site_label
_atom_site_fract_x
_atom_site_fract_y
_atom_site_fract_z
_atom_site_occupancy
Pr1 0.0000 0.0000 0.0000 1
Pr2 0.0838 0.7676 0.5753 1
Dy1 0.2004 0.3348 0.4562 1
Dy2 0.3048 0.8838 0.2912 1
Dy3 0.3975 0.4468 0.1232 1
Dy4 0.5001 0.9990 0.9859 1
Dy5 0.6130 0.5944 0.8513 1
Dy6 0.6980 0.3295 0.4517 1
Dy7 0.8908 0.4426 0.1124 1
Dy8 0.9716 0.1743 0.7118 1
Sc1 0.1176 0.5959 0.8560 1
Sc2 0.4784 0.1771 0.7168 1
Sc3 0.5916 0.7771 0.5794 1
Sc4 0.7903 0.8823 0.2851 1
```

Main lines, sorted by position (2θ = 15–90°):
hkl	2θ/deg	Rel. int.
2 1 -1	30.6	80
2 -2 1	31.9	100
0 1 -3	32.2	92
0 2 1	32.3	88
0 3 -2	33.4	83
-2 1 2	33.8	95
2 0 2	42.7	26
2 2 -4	47.2	26
2 -4 0	49.1	41
-4 1 1	52.7	24
4 0 -4	63.1	39
4 2 -3	63.8	25


5.
PrDy10Sc4: theoretical PXRD pattern (CuKα), based on a GGA-PBE-relaxed structure.
Kinematic intensities with the Lorentz-polarization factor, no thermal factor.

Crystal structure
```
data_PrDy10Sc4
_cell_length_a 12.2578
_cell_length_b 12.2578
_cell_length_c 6.6410
_cell_angle_alpha 90.00
_cell_angle_beta 90.00
_cell_angle_gamma 90.00
_symmetry_space_group_name_H-M 'I 4/m'
_symmetry_Int_Tables_number 87
_symmetry_space_group_name_Hall '-I 4'
loop_
_atom_site_label
_atom_site_fract_x
_atom_site_fract_y
_atom_site_fract_z
_atom_site_occupancy
Pr1 0.0000 0.0000 0.0000 1
Dy1 0.0000 0.5000 0.2500 1
Dy2 0.1229 0.7189 0.2452 1
Sc1 0.0690 0.1773 0.5000 1
```

Main lines, sorted by position (2θ = 15–90°):
hkl	2θ/deg	Rel. int.
3 1 0	22.9	93
0 0 2	26.8	45
1 1 2	28.8	48
2 4 0	32.7	100
1 3 2	35.6	90
5 1 0	37.4	35
3 3 2	41.4	28
2 4 2	42.8	47
5 1 2	46.6	49
6 2 0	46.9	26
2 4 4	65.8	26
7 5 2	72.1	23


6.
Pr3DySc: theoretical PXRD pattern (CuKα), based on a GGA-PBE-relaxed structure.
Kinematic intensities with the Lorentz-polarization factor, no thermal factor.

Crystal structure
```
data_Pr3DySc
_cell_length_a 5.8533
_cell_length_b 18.3170
_cell_length_c 6.4937
_cell_angle_alpha 90.00
_cell_angle_beta 90.00
_cell_angle_gamma 90.00
_symmetry_space_group_name_H-M 'I m m a'
_symmetry_Int_Tables_number 74
_symmetry_space_group_name_Hall '-I 2b 2'
loop_
_atom_site_label
_atom_site_fract_x
_atom_site_fract_y
_atom_site_fract_z
_atom_site_occupancy
Pr1 0.0000 0.0905 0.0144 1
Pr2 0.0000 0.2500 0.3687 1
Dy1 0.0000 0.2500 0.8369 1
Sc1 0.0000 0.0000 0.5000 1
```

Main lines, sorted by position (2θ = 15–90°):
hkl	2θ/deg	Rel. int.
0 4 0	19.4	18
1 0 1	20.4	60
1 4 1	28.3	63
0 6 0	29.2	100
2 0 0	30.5	88
1 1 2	31.9	52
1 3 2	34.8	69
1 6 1	35.9	53
1 5 2	40.2	30
2 6 0	42.8	71
1 6 3	54.3	19
0 10 2	57.8	22


7.
PrSm2DySc: theoretical PXRD pattern (CuKα), based on a GGA-PBE-relaxed structure.
Kinematic intensities with the Lorentz-polarization factor, no thermal factor.

Crystal structure
```
data_PrSm2DySc
_cell_length_a 6.2161
_cell_length_b 7.8377
_cell_length_c 6.6830
_cell_angle_alpha 90.00
_cell_angle_beta 90.00
_cell_angle_gamma 90.00
_symmetry_space_group_name_H-M 'P m m a'
_symmetry_Int_Tables_number 51
_symmetry_space_group_name_Hall '-P 2a 2a'
loop_
_atom_site_label
_atom_site_fract_x
_atom_site_fract_y
_atom_site_fract_z
_atom_site_occupancy
Pr1 0.2500 0.0000 0.1943 1
Sm1 0.2500 0.2109 0.7161 1
Dy1 0.2500 0.5000 0.4002 1
Sc1 0.0000 0.5000 0.0000 1
```

Main lines, sorted by position (2θ = 15–90°):
hkl	2θ/deg	Rel. int.
0 1 1	17.4	11
0 0 2	26.7	12
2 0 0	28.7	37
0 1 2	29.0	17
1 2 1	30.1	100
1 1 2	32.5	26
2 1 1	33.8	14
2 0 2	39.6	14
1 3 1	39.8	11
3 2 1	51.7	23
1 3 3	56.3	12
2 2 5	82.3	9


8.
TbPrDy2Sc4: theoretical PXRD pattern (CuKα), based on a GGA-PBE-relaxed structure.
Kinematic intensities with the Lorentz-polarization factor, no thermal factor.

Crystal structure
```
data_TbPrDy2Sc4
_cell_length_a 6.8749
_cell_length_b 6.8775
_cell_length_c 11.0092
_cell_angle_alpha 89.98
_cell_angle_beta 89.99
_cell_angle_gamma 60.10
_symmetry_space_group_name_H-M 'P -1'
_symmetry_Int_Tables_number 2
_symmetry_space_group_name_Hall '-P 1'
loop_
_atom_site_label
_atom_site_fract_x
_atom_site_fract_y
_atom_site_fract_z
_atom_site_occupancy
Tb1 0.0000 0.0000 0.0000 1
Tb2 0.5000 0.0000 0.5000 1
Pr1 0.0000 0.0000 0.5000 1
Pr2 0.5000 0.5000 0.5000 1
Dy1 0.0000 0.5000 0.0000 1
Dy2 0.0000 0.5000 0.5000 1
Dy3 0.5000 0.0000 0.0000 1
Dy4 0.5000 0.5000 0.0000 1
Sc1 0.1662 0.6668 0.2485 1
Sc2 0.1666 0.1675 0.2483 1
Sc3 0.3334 0.3327 0.7516 1
Sc4 0.3339 0.8330 0.7515 1
```

Main lines, sorted by position (2θ = 15–90°):
hkl	2θ/deg	Rel. int.
0 0 2	16.1	38
2 2 0	30.0	39
2 2 1	31.1	6
0 0 4	32.5	24
0 2 -2	34.2	100
2 0 4	44.8	27
4 2 0	53.3	18
4 2 2	56.0	10
0 2 -6	59.1	20
4 2 4	63.8	20
4 0 2	64.8	10
2 6 -2	88.7	7